Starting from a PBE-relaxed structure, the powder XRD pattern of SrCaEuSbO6 was simulated for Cu Kα, 1.54184 Å.
Intensities are scaled so that the largest is 1000.

Top 6 peaks for 10 to 90 degrees two-theta, sorted by position:
18.4 deg, intensity 188, (1 1 1)
30.3 deg, intensity 1000, (2 2 0)
43.4 deg, intensity 330, (4 0 0)
53.9 deg, intensity 395, (4 2 2)
63.1 deg, intensity 199, (4 4 0)
87.6 deg, intensity 212, (6 4 2)

Structure:
Cell: 8.3350 8.3350 8.3350 Å, 90.00 90.00 90.00°
Space group F-43m (No. 216)
Symmetry-distinct sites (fractional):
Sr 0.0000 0.0000 0.0000 (multiplicity 4)
Ca 0.2500 0.2500 0.2500 (multiplicity 4)
Eu 0.0000 0.0000 0.5000 (multiplicity 4)
Sb 0.2500 0.2500 0.7500 (multiplicity 4)
O 0.0145 0.2500 0.7500 (multiplicity 24)